The following is a calculated powder diffractogram of Y3HgIr. It was derived from a cell relaxed with PBE, using Cu Ka.
Neutral-atom scattering factors, no anomalous dispersion.

Peak list (6 most intense, 2θ = 5–70°, by angle)
Position (°2θ)	I/Imax	hkl
21.25	1000	-1 1 1
35.10	416	0 2 0
35.25	844	1 1 1
35.36	374	0 2 -2
35.76	407	1 1 -3
37.67	668	1 -1 3

Structure:
```
Y3HgIr
1.0
5.8058 0.0000 0.0000
-2.2892 5.3586 0.0000
-1.6989 -2.5817 8.2283
Y Hg Ir
6 2 2
direct
0.0705 0.1992 0.2807 Y
0.3000 0.4296 0.7197 Y
0.2996 0.7995 0.1020 Y
0.7004 0.2005 0.8980 Y
0.7000 0.5704 0.2803 Y
0.9295 0.8008 0.7193 Y
0.2812 0.7783 0.4910 Hg
0.7188 0.2217 0.5090 Hg
0.2500 0.2495 0.0000 Ir
0.7500 0.7505 0.0000 Ir
```